CrCuO4: theoretical powder diffractogram (copper Kα), based on a cell relaxed with GGA+U.
Kinematic intensities with the Lorentz-polarization factor, no thermal factor.

Structural model:
```
data_CrCuO4
_chemical_formula_sum 'Cr8 Cu8 O32'
_symmetry_space_group_name_H-M 'P 1'
_symmetry_Int_Tables_number 1
_symmetry_space_group_name_Hall 'P 1'
_cell_length_a 6.463
_cell_length_b 8.545
_cell_length_c 11.743
_cell_angle_alpha 90.00
_cell_angle_beta 90.12
_cell_angle_gamma 90.00
loop_
_atom_site_label
_atom_site_type_symbol
_atom_site_fract_x
_atom_site_fract_y
_atom_site_fract_z
_atom_site_occupancy
Cr1 Cr 0.096 0.097 0.138 1
Cr2 Cr 0.096 0.403 0.638 1
Cr3 Cr 0.395 0.543 0.151 1
Cr4 Cr 0.395 0.957 0.651 1
Cr5 Cr 0.605 0.043 0.349 1
Cr6 Cr 0.605 0.457 0.849 1
Cr7 Cr 0.904 0.597 0.362 1
Cr8 Cr 0.904 0.903 0.862 1
Cu1 Cu 0.122 0.550 0.875 1
Cu2 Cu 0.122 0.950 0.375 1
Cu3 Cu 0.277 0.171 0.876 1
Cu4 Cu 0.277 0.329 0.376 1
Cu5 Cu 0.723 0.671 0.624 1
Cu6 Cu 0.723 0.829 0.124 1
Cu7 Cu 0.878 0.050 0.625 1
Cu8 Cu 0.878 0.450 0.125 1
O1 O 0.003 0.084 0.869 1
O2 O 0.003 0.416 0.369 1
O3 O 0.084 0.727 0.394 1
O4 O 0.084 0.773 0.894 1
O5 O 0.164 0.004 0.590 1
O6 O 0.164 0.496 0.090 1
O7 O 0.175 0.133 0.278 1
O8 O 0.175 0.367 0.778 1
O9 O 0.287 0.115 0.045 1
O10 O 0.287 0.385 0.545 1
O11 O 0.373 0.522 0.290 1
O12 O 0.373 0.978 0.790 1
O13 O 0.416 0.579 0.891 1
O14 O 0.416 0.921 0.391 1
O15 O 0.460 0.729 0.122 1
O16 O 0.460 0.771 0.622 1
O17 O 0.540 0.229 0.378 1
O18 O 0.540 0.271 0.878 1
O19 O 0.584 0.079 0.609 1
O20 O 0.584 0.421 0.109 1
O21 O 0.627 0.022 0.210 1
O22 O 0.627 0.478 0.710 1
O23 O 0.713 0.615 0.455 1
O24 O 0.713 0.885 0.955 1
O25 O 0.825 0.633 0.222 1
O26 O 0.825 0.867 0.722 1
O27 O 0.836 0.504 0.910 1
O28 O 0.836 0.996 0.410 1
O29 O 0.916 0.227 0.106 1
O30 O 0.916 0.273 0.606 1
O31 O 0.997 0.584 0.631 1
O32 O 0.997 0.916 0.131 1
```

Most intense lines, 15° ≤ 2θ ≤ 90°, in order of falling intensity:
2θ = 30.5°, rel. 100, hkl 0 0 4; 2θ = 26.1°, rel. 65, hkl 1 2 -1; 2θ = 30.6°, rel. 46, hkl 2 1 1; 2θ = 23.0°, rel. 43, hkl 1 1 -2; 2θ = 20.8°, rel. 27, hkl 0 2 0; 2θ = 32.3°, rel. 27, hkl 0 3 1; 2θ = 17.2°, rel. 27, hkl 1 1 0; 2θ = 34.0°, rel. 20, hkl 1 2 3; 2θ = 49.1°, rel. 18, hkl 2 1 5; 2θ = 20.4°, rel. 16, hkl 1 0 2

Ba2WO6: theoretical powder diffractogram (copper Kα), based on a cell relaxed with GGA+U.
Kinematic intensities with the Lorentz-polarization factor, no thermal factor.

Structural model:
```
data_Ba2WO6
_chemical_formula_sum 'Ba8 W4 O24'
_symmetry_space_group_name_H-M 'P 1'
_symmetry_Int_Tables_number 1
_symmetry_space_group_name_Hall 'P 1'
_cell_length_a 7.777
_cell_length_b 10.030
_cell_length_c 9.349
_cell_angle_alpha 90.00
_cell_angle_beta 119.09
_cell_angle_gamma 90.00
loop_
_atom_site_label
_atom_site_type_symbol
_atom_site_fract_x
_atom_site_fract_y
_atom_site_fract_z
_atom_site_occupancy
Ba1 Ba 0.145 0.207 0.035 1
Ba2 Ba 0.145 0.293 0.535 1
Ba3 Ba 0.324 0.649 0.944 1
Ba4 Ba 0.324 0.851 0.444 1
Ba5 Ba 0.676 0.149 0.556 1
Ba6 Ba 0.676 0.351 0.056 1
Ba7 Ba 0.855 0.707 0.465 1
Ba8 Ba 0.855 0.793 0.965 1
W1 W 0.309 0.512 0.312 1
W2 W 0.309 0.988 0.812 1
W3 W 0.691 0.012 0.188 1
W4 W 0.691 0.488 0.688 1
O1 O 0.089 0.106 0.734 1
O2 O 0.089 0.394 0.234 1
O3 O 0.167 0.569 0.443 1
O4 O 0.167 0.931 0.943 1
O5 O 0.210 0.662 0.180 1
O6 O 0.210 0.838 0.680 1
O7 O 0.306 0.094 0.324 1
O8 O 0.306 0.406 0.824 1
O9 O 0.415 0.068 0.694 1
O10 O 0.415 0.432 0.194 1
O11 O 0.468 0.118 0.016 1
O12 O 0.468 0.382 0.516 1
O13 O 0.532 0.618 0.484 1
O14 O 0.532 0.882 0.984 1
O15 O 0.585 0.568 0.806 1
O16 O 0.585 0.932 0.306 1
O17 O 0.694 0.594 0.176 1
O18 O 0.694 0.906 0.676 1
O19 O 0.790 0.162 0.320 1
O20 O 0.790 0.338 0.820 1
O21 O 0.833 0.069 0.057 1
O22 O 0.833 0.431 0.557 1
O23 O 0.911 0.606 0.766 1
O24 O 0.911 0.894 0.266 1
```

Most intense lines, 15° ≤ 2θ ≤ 90°, in order of falling intensity:
2θ = 26.2°, rel. 100, hkl 2 0 0; 2θ = 29.4°, rel. 77, hkl 1 3 -1; 2θ = 28.2°, rel. 61, hkl 0 2 2; 2θ = 15.1°, rel. 48, hkl 1 1 -1; 2θ = 22.5°, rel. 45, hkl 1 1 1; 2θ = 24.6°, rel. 38, hkl 2 0 -2; 2θ = 27.7°, rel. 36, hkl 2 1 0; 2θ = 43.0°, rel. 36, hkl 2 3 1; 2θ = 30.2°, rel. 35, hkl 1 1 -3; 2θ = 30.5°, rel. 30, hkl 1 0 2

BaTbInWO6: theoretical powder diffractogram (copper Kα), based on a cell relaxed with GGA+U.
Kinematic intensities with the Lorentz-polarization factor, no thermal factor.

Structural model:
```
data_BaTbInWO6
_chemical_formula_sum 'Ba4 Tb4 In4 W4 O24'
_symmetry_space_group_name_H-M 'P 1'
_symmetry_Int_Tables_number 1
_symmetry_space_group_name_Hall 'P 1'
_cell_length_a 8.486
_cell_length_b 8.496
_cell_length_c 8.509
_cell_angle_alpha 90.00
_cell_angle_beta 90.00
_cell_angle_gamma 90.00
loop_
_atom_site_label
_atom_site_type_symbol
_atom_site_fract_x
_atom_site_fract_y
_atom_site_fract_z
_atom_site_occupancy
Ba1 Ba 0.250 0.250 0.250 1
Ba2 Ba 0.250 0.250 0.750 1
Ba3 Ba 0.750 0.750 0.250 1
Ba4 Ba 0.750 0.750 0.750 1
Tb1 Tb 0.000 0.000 0.000 1
Tb2 Tb 0.000 0.500 0.500 1
Tb3 Tb 0.500 0.000 0.500 1
Tb4 Tb 0.500 0.500 0.000 1
In1 In 0.250 0.750 0.250 1
In2 In 0.250 0.750 0.750 1
In3 In 0.750 0.250 0.250 1
In4 In 0.750 0.250 0.750 1
W1 W 0.000 0.000 0.500 1
W2 W 0.000 0.500 0.000 1
W3 W 0.500 0.000 0.000 1
W4 W 0.500 0.500 0.500 1
O1 O 0.000 0.231 0.489 1
O2 O 0.000 0.269 0.011 1
O3 O 0.000 0.731 0.989 1
O4 O 0.000 0.769 0.511 1
O5 O 0.003 0.510 0.230 1
O6 O 0.003 0.990 0.270 1
O7 O 0.231 0.015 0.503 1
O8 O 0.231 0.485 0.997 1
O9 O 0.269 0.015 0.997 1
O10 O 0.269 0.485 0.503 1
O11 O 0.497 0.510 0.270 1
O12 O 0.497 0.990 0.230 1
O13 O 0.500 0.231 0.011 1
O14 O 0.500 0.269 0.489 1
O15 O 0.500 0.731 0.511 1
O16 O 0.500 0.769 0.989 1
O17 O 0.503 0.010 0.770 1
O18 O 0.503 0.490 0.730 1
O19 O 0.731 0.515 0.497 1
O20 O 0.731 0.985 0.003 1
O21 O 0.769 0.515 0.003 1
O22 O 0.769 0.985 0.497 1
O23 O 0.997 0.010 0.730 1
O24 O 0.997 0.490 0.770 1
```

Most intense lines, 15° ≤ 2θ ≤ 90°, in order of falling intensity:
2θ = 29.7°, rel. 100, hkl 2 2 0; 2θ = 52.8°, rel. 41, hkl 2 4 2; 2θ = 42.5°, rel. 19, hkl 0 0 4; 2θ = 61.8°, rel. 18, hkl 4 0 4; 2θ = 85.5°, rel. 11, hkl 2 6 4; 2θ = 85.6°, rel. 11, hkl 6 4 2; 2θ = 42.6°, rel. 9, hkl 4 0 0; 2θ = 70.0°, rel. 9, hkl 0 2 6; 2θ = 70.1°, rel. 9, hkl 2 6 0; 2θ = 20.9°, rel. 6, hkl 2 0 0

RbMnVO4: theoretical powder diffractogram (copper Kα), based on a cell relaxed with GGA+U.
Kinematic intensities with the Lorentz-polarization factor, no thermal factor.

Structural model:
```
data_RbMnVO4
_chemical_formula_sum 'Rb8 Mn8 V8 O32'
_symmetry_space_group_name_H-M 'P 1'
_symmetry_Int_Tables_number 1
_symmetry_space_group_name_Hall 'P 1'
_cell_length_a 11.508
_cell_length_b 11.508
_cell_length_c 9.208
_cell_angle_alpha 90.00
_cell_angle_beta 90.00
_cell_angle_gamma 120.00
loop_
_atom_site_label
_atom_site_type_symbol
_atom_site_fract_x
_atom_site_fract_y
_atom_site_fract_z
_atom_site_occupancy
Rb1 Rb 0.000 0.000 0.000 1
Rb2 Rb 0.000 0.000 0.500 1
Rb3 Rb 0.045 0.527 0.014 1
Rb4 Rb 0.473 0.517 0.014 1
Rb5 Rb 0.483 0.955 0.014 1
Rb6 Rb 0.517 0.045 0.514 1
Rb7 Rb 0.527 0.483 0.514 1
Rb8 Rb 0.955 0.473 0.514 1
Mn1 Mn 0.164 0.329 0.317 1
Mn2 Mn 0.165 0.836 0.317 1
Mn3 Mn 0.329 0.165 0.817 1
Mn4 Mn 0.333 0.667 0.682 1
Mn5 Mn 0.667 0.333 0.182 1
Mn6 Mn 0.671 0.835 0.317 1
Mn7 Mn 0.835 0.164 0.817 1
Mn8 Mn 0.836 0.671 0.817 1
V1 V 0.160 0.332 0.709 1
V2 V 0.173 0.840 0.709 1
V3 V 0.332 0.173 0.209 1
V4 V 0.333 0.667 0.273 1
V5 V 0.667 0.333 0.773 1
V6 V 0.668 0.827 0.709 1
V7 V 0.827 0.160 0.209 1
V8 V 0.840 0.668 0.209 1
O1 O 0.013 0.819 0.736 1
O2 O 0.029 0.318 0.818 1
O3 O 0.114 0.333 0.529 1
O4 O 0.177 0.693 0.748 1
O5 O 0.181 0.194 0.736 1
O6 O 0.194 0.013 0.236 1
O7 O 0.219 0.886 0.529 1
O8 O 0.232 0.504 0.206 1
O9 O 0.272 0.768 0.206 1
O10 O 0.289 0.971 0.818 1
O11 O 0.307 0.484 0.748 1
O12 O 0.318 0.289 0.318 1
O13 O 0.333 0.219 0.029 1
O14 O 0.333 0.667 0.460 1
O15 O 0.484 0.177 0.248 1
O16 O 0.496 0.728 0.206 1
O17 O 0.504 0.272 0.706 1
O18 O 0.516 0.823 0.748 1
O19 O 0.667 0.333 0.960 1
O20 O 0.667 0.781 0.529 1
O21 O 0.682 0.711 0.818 1
O22 O 0.693 0.516 0.248 1
O23 O 0.711 0.029 0.318 1
O24 O 0.728 0.232 0.706 1
O25 O 0.768 0.496 0.706 1
O26 O 0.781 0.114 0.029 1
O27 O 0.806 0.987 0.736 1
O28 O 0.819 0.806 0.236 1
O29 O 0.823 0.307 0.248 1
O30 O 0.886 0.667 0.029 1
O31 O 0.971 0.682 0.318 1
O32 O 0.987 0.181 0.236 1
```

Most intense lines, 15° ≤ 2θ ≤ 90°, in order of falling intensity:
2θ = 26.4°, rel. 100, hkl 2 0 2; 2θ = 31.1°, rel. 61, hkl 2 2 0; 2θ = 25.5°, rel. 27, hkl 1 2 1; 2θ = 52.5°, rel. 16, hkl 2 4 2; 2θ = 41.2°, rel. 14, hkl 4 0 2; 2θ = 49.7°, rel. 12, hkl 3 2 3; 2θ = 55.3°, rel. 12, hkl 6 0 0; 2θ = 69.4°, rel. 8, hkl 2 2 6; 2θ = 50.8°, rel. 8, hkl 2 2 4; 2θ = 39.1°, rel. 8, hkl 0 0 4

BaAlCr4O7: theoretical powder diffractogram (copper Kα), based on a cell relaxed with GGA+U.
Kinematic intensities with the Lorentz-polarization factor, no thermal factor.

Structural model:
```
data_BaAlCr4O7
_chemical_formula_sum 'Ba2 Al2 Cr8 O14'
_symmetry_space_group_name_H-M 'P 1'
_symmetry_Int_Tables_number 1
_symmetry_space_group_name_Hall 'P 1'
_cell_length_a 6.107
_cell_length_b 6.107
_cell_length_c 10.472
_cell_angle_alpha 90.00
_cell_angle_beta 90.00
_cell_angle_gamma 120.00
loop_
_atom_site_label
_atom_site_type_symbol
_atom_site_fract_x
_atom_site_fract_y
_atom_site_fract_z
_atom_site_occupancy
Ba1 Ba 0.333 0.667 0.000 1
Ba2 Ba 0.667 0.333 0.500 1
Al1 Al 0.333 0.667 0.381 1
Al2 Al 0.667 0.333 0.881 1
Cr1 Cr 0.000 0.000 0.472 1
Cr2 Cr 0.000 0.000 0.972 1
Cr3 Cr 0.162 0.324 0.697 1
Cr4 Cr 0.162 0.838 0.697 1
Cr5 Cr 0.324 0.162 0.197 1
Cr6 Cr 0.676 0.838 0.697 1
Cr7 Cr 0.838 0.162 0.197 1
Cr8 Cr 0.838 0.676 0.197 1
O1 O 0.000 0.000 0.290 1
O2 O 0.000 0.000 0.790 1
O3 O 0.025 0.512 0.276 1
O4 O 0.185 0.371 0.503 1
O5 O 0.185 0.815 0.503 1
O6 O 0.371 0.185 0.003 1
O7 O 0.488 0.512 0.276 1
O8 O 0.488 0.975 0.276 1
O9 O 0.512 0.025 0.776 1
O10 O 0.512 0.488 0.776 1
O11 O 0.629 0.815 0.503 1
O12 O 0.815 0.185 0.003 1
O13 O 0.815 0.629 0.003 1
O14 O 0.975 0.488 0.776 1
```

Most intense lines, 15° ≤ 2θ ≤ 90°, in order of falling intensity:
2θ = 34.0°, rel. 100, hkl 1 1 2; 2θ = 35.0°, rel. 95, hkl 2 0 1; 2θ = 30.7°, rel. 57, hkl 1 0 3; 2θ = 56.0°, rel. 39, hkl 2 0 5; 2θ = 60.7°, rel. 33, hkl 2 2 0; 2θ = 18.8°, rel. 32, hkl 1 0 1; 2θ = 34.3°, rel. 31, hkl 0 0 4; 2θ = 52.8°, rel. 30, hkl 2 1 3; 2θ = 29.2°, rel. 29, hkl 1 1 0; 2θ = 55.0°, rel. 23, hkl 3 0 2

La4MnS6O: theoretical powder diffractogram (copper Kα), based on a cell relaxed with GGA+U.
Kinematic intensities with the Lorentz-polarization factor, no thermal factor.

Structural model:
```
data_La4MnS6O
_chemical_formula_sum 'La8 Mn2 S12 O2'
_symmetry_space_group_name_H-M 'P 1'
_symmetry_Int_Tables_number 1
_symmetry_space_group_name_Hall 'P 1'
_cell_length_a 6.797
_cell_length_b 9.489
_cell_length_c 9.498
_cell_angle_alpha 119.94
_cell_angle_beta 90.05
_cell_angle_gamma 90.02
loop_
_atom_site_label
_atom_site_type_symbol
_atom_site_fract_x
_atom_site_fract_y
_atom_site_fract_z
_atom_site_occupancy
La1 La 0.000 0.000 0.000 1
La2 La 0.000 0.411 0.410 1
La3 La 0.032 0.470 0.940 1
La4 La 0.499 0.607 0.802 1
La5 La 0.500 0.196 0.803 1
La6 La 0.501 0.607 0.212 1
La7 La 0.532 0.137 0.273 1
La8 La 0.999 0.000 0.410 1
Mn1 Mn 0.335 0.808 0.608 1
Mn2 Mn 0.831 0.800 0.605 1
S1 S 0.101 0.040 0.725 1
S2 S 0.101 0.685 0.726 1
S3 S 0.102 0.685 0.369 1
S4 S 0.279 0.273 0.137 1
S5 S 0.280 0.273 0.546 1
S6 S 0.280 0.864 0.137 1
S7 S 0.601 0.567 0.488 1
S8 S 0.601 0.922 0.487 1
S9 S 0.602 0.922 0.844 1
S10 S 0.779 0.334 0.076 1
S11 S 0.779 0.743 0.076 1
S12 S 0.780 0.334 0.667 1
O1 O 0.378 0.470 0.940 1
O2 O 0.878 0.137 0.273 1
```

Most intense lines, 15° ≤ 2θ ≤ 90°, in order of falling intensity:
2θ = 25.3°, rel. 100, hkl 1 0 2; 2θ = 34.2°, rel. 53, hkl 2 -2 2; 2θ = 35.3°, rel. 40, hkl 1 3 0; 2θ = 37.9°, rel. 39, hkl 0 4 -2; 2θ = 45.7°, rel. 29, hkl 3 2 0; 2θ = 26.2°, rel. 24, hkl 2 0 0; 2θ = 31.7°, rel. 23, hkl 1 1 2; 2θ = 46.1°, rel. 17, hkl 1 4 0; 2θ = 46.7°, rel. 14, hkl 2 4 -2; 2θ = 39.3°, rel. 13, hkl 2 2 -3